Entry 1:
Starting from the PBE geometry in Alexandria, the X-ray powder pattern of SrEr4Se6 was calculated for Cu Kα (weighted mean of Kα1 and Kα2).
Intensities are scaled so that the largest is 100.

Cell and atoms:
```
data_SrEr4Se6
_cell_length_a 4.081
_cell_length_b 13.360
_cell_length_c 20.949
_cell_angle_alpha 90.00
_cell_angle_beta 90.00
_cell_angle_gamma 90.00
_space_group_name_H-M_alt 'C m c m'
_space_group_IT_number 63
_space_group_name_Hall '-C 2c 2'
loop_
_atom_site_label
_atom_site_type_symbol
_atom_site_fract_x
_atom_site_fract_y
_atom_site_fract_z
Sr1 Sr 0.000 0.158 0.250
Er1 Er 0.000 0.093 0.627
Er2 Er 0.000 0.362 0.539
Se1 Se 0.000 0.000 0.000
Se2 Se 0.000 0.172 0.750
Se3 Se 0.000 0.269 0.087
Se4 Se 0.000 0.456 0.660
```

Most intense lines, 2θ = 15–90°, sorted by position:
Position (°2θ)  I/Imax  hkl
25.09  54  0 2 5
30.01  61  1 3 1
30.92  100  1 3 2
32.40  73  1 3 3
32.79  44  0 2 7
41.53  42  1 1 8
44.04  43  1 5 4
44.40  43  2 0 0



Entry 2:
Starting from the PBE geometry in Alexandria, the X-ray powder pattern of SrErTeSe was calculated for Cu Kα (weighted mean of Kα1 and Kα2).
Intensities are scaled so that the largest is 100.

Cell and atoms:
```
data_SrErTeSe
_cell_length_a 4.2190
_cell_length_b 4.2190
_cell_length_c 23.0344
_cell_angle_alpha 90.00
_cell_angle_beta 90.00
_cell_angle_gamma 120.00
_space_group_name_H-M_alt 'R 3 m'
_space_group_IT_number 160
_space_group_name_Hall 'R 3 -2"'
loop_
_atom_site_label
_atom_site_type_symbol
_atom_site_fract_x
_atom_site_fract_y
_atom_site_fract_z
Sr1 Sr 0.0000 0.0000 0.0000
Er1 Er 0.0000 0.0000 0.1827
Te1 Te 0.0000 0.0000 0.4320
Se1 Se 0.0000 0.0000 0.5872
```

Most intense lines, 2θ = 15–90°, sorted by position:
Position (°2θ)  I/Imax  hkl
24.67  35  1 0 1
25.58  24  0 1 2
28.94  44  1 0 4
31.25  100  0 1 5
36.76  53  1 0 7
42.87  64  1 1 0
54.00  21  2 0 5
65.78  27  1 1 12